[1]
# Sr2LiSbSe4
Theoretical PXRD pattern, CuKα. Input: the PBE geometry in Alexandria.
Intensities are scaled so that the largest is 100.

Principal peaks in the range 10° ≤ 2θ ≤ 80°, in order of rising 2θ:
| h k l | d [Å] | I (rel.) |
| --- | --- | --- |
| 2 2 0 | 3.030 | 100 |
| 0 0 4 | 2.994 | 48 |
| 0 4 0 | 2.170 | 19 |
| 2 2 4 | 2.129 | 71 |
| 4 0 0 | 2.116 | 18 |
| 0 4 4 | 1.757 | 19 |
| 4 0 4 | 1.728 | 18 |
| 6 2 0 | 1.342 | 23 |

abc: 8.463 8.679 11.975
angles: 90.00 90.00 90.00
Space group Imma (No. 74)
One atom of each set of equivalent atoms:
Sr1 0.000 0.000 0.000 x4
Sr2 0.250 0.250 0.250 x4
Li1 0.000 0.000 0.500 x4
Sb1 0.250 0.250 0.750 x4
Se1 0.000 0.015 0.740 x8
Se2 0.238 0.250 0.508 x8


[2]
# Li8SiSb2
Theoretical PXRD pattern, CuKα. Input: the PBE geometry in Alexandria.
Intensities are scaled so that the largest is 100.

Principal peaks in the range 10° ≤ 2θ ≤ 80°, in order of rising 2θ:
| h k l | d [Å] | I (rel.) |
| --- | --- | --- |
| 2 0 0 | 5.642 | 47 |
| 1 1 -1 | 3.925 | 100 |
| 2 0 -2 | 3.758 | 44 |
| 4 0 -1 | 3.363 | 48 |
| 1 1 1 | 3.222 | 48 |
| 3 1 0 | 2.912 | 28 |
| 0 2 0 | 2.304 | 40 |
| 5 1 -2 | 2.299 | 24 |

abc: 13.532 4.602 7.516
angles: 90.00 123.51 90.00
Space group C2/m (No. 12)
One atom of each set of equivalent atoms:
Li1 0.002 0.000 0.285 x4
Li2 0.142 0.000 0.137 x4
Li3 0.147 0.500 0.856 x4
Li4 0.150 0.500 0.441 x4
Si1 0.000 0.500 0.000 x2
Sb1 0.201 0.000 0.703 x4